Entry 1:
This entry pairs a crystal structure of HoBiIrO6 with its calculated PXRD pattern. Radiation: Cu Kα, 1.54184 Å. Structure: DFT lattice parameters and positions (GGA-PBE).

Top 10 peaks for 2θ from 15° to 90°, low angle first:
26.33 deg, d 3.385, intensity 100
32.35 deg, d 2.767, intensity 53
37.60 deg, d 2.392, intensity 17
42.18 deg, d 2.142, intensity 29
50.45 deg, d 1.809, intensity 42
54.14 deg, d 1.694, intensity 28
57.71 deg, d 1.598, intensity 16
70.95 deg, d 1.328, intensity 12
74.02 deg, d 1.281, intensity 12
80.15 deg, d 1.197, intensity 11

Structural model:
Unit cell a=5.534 b=5.534 c=9.562 alpha=90.00 beta=90.00 gamma=120.00
Sites, in units of the cell vectors:
Ho: 0.333 0.667 0.250
Ho: 0.667 0.333 0.750
Bi: 0.000 0.000 0.000
Bi: 0.000 0.000 0.500
Ir: 0.333 0.667 0.750
Ir: 0.667 0.333 0.250
O: 0.037 0.375 0.634
O: 0.037 0.662 0.866
O: 0.338 0.375 0.866
O: 0.338 0.963 0.634
O: 0.375 0.037 0.134
O: 0.375 0.338 0.366
O: 0.625 0.662 0.634
O: 0.625 0.963 0.866
O: 0.662 0.037 0.366
O: 0.662 0.625 0.134
O: 0.963 0.338 0.134
O: 0.963 0.625 0.366

Entry 2:
This entry pairs a crystal structure of Ho2BiIrO8 with its calculated PXRD pattern. Radiation: Cu Kα, 1.54184 Å. Structure: DFT lattice parameters and positions (GGA-PBE).

Top 10 peaks for 2θ from 15° to 90°, low angle first:
24.81 deg, d 3.589, intensity 58
25.46 deg, d 3.498, intensity 53
32.06 deg, d 2.792, intensity 100
35.85 deg, d 2.505, intensity 32
48.48 deg, d 1.878, intensity 41
49.22 deg, d 1.851, intensity 36
58.72 deg, d 1.572, intensity 10
60.86 deg, d 1.522, intensity 10
62.06 deg, d 1.496, intensity 22
67.05 deg, d 1.396, intensity 11

Structural model:
Unit cell a=5.012 b=5.012 c=6.723 alpha=90.00 beta=90.00 gamma=91.46
Sites, in units of the cell vectors:
Ho: 0.000 0.000 0.245
Ho: 0.000 0.000 0.755
Bi: 0.500 0.500 0.500
Ir: 0.500 0.500 0.000
O: 0.194 0.194 0.500
O: 0.224 0.224 0.000
O: 0.319 0.681 0.225
O: 0.319 0.681 0.775
O: 0.681 0.319 0.225
O: 0.681 0.319 0.775
O: 0.776 0.776 0.000
O: 0.806 0.806 0.500

Entry 3:
This entry pairs a crystal structure of K3Ho3BiO8 with its calculated PXRD pattern. Radiation: Cu Kα, 1.54184 Å. Structure: DFT lattice parameters and positions (GGA-PBE).

Top 10 peaks for 2θ from 15° to 90°, low angle first:
28.13 deg, d 3.172, intensity 38
30.19 deg, d 2.960, intensity 53
31.30 deg, d 2.858, intensity 76
35.40 deg, d 2.536, intensity 100
38.22 deg, d 2.355, intensity 23
45.02 deg, d 2.014, intensity 28
48.88 deg, d 1.863, intensity 34
52.92 deg, d 1.730, intensity 32
55.02 deg, d 1.669, intensity 26
61.00 deg, d 1.519, intensity 27

Structural model:
Unit cell a=7.498 b=7.498 c=7.498 alpha=54.97 beta=54.97 gamma=54.97
Sites, in units of the cell vectors:
K: 0.000 0.500 0.500
K: 0.500 0.000 0.500
K: 0.500 0.500 0.000
Ho: 0.000 0.000 0.500
Ho: 0.000 0.500 0.000
Ho: 0.500 0.000 0.000
Bi: 0.500 0.500 0.500
O: 0.226 0.226 0.226
O: 0.230 0.725 0.725
O: 0.275 0.275 0.770
O: 0.275 0.770 0.275
O: 0.725 0.230 0.725
O: 0.725 0.725 0.230
O: 0.770 0.275 0.275
O: 0.774 0.774 0.774

Entry 4:
This entry pairs a crystal structure of La5HoBi4 with its calculated PXRD pattern. Radiation: Cu Kα, 1.54184 Å. Structure: DFT lattice parameters and positions (GGA-PBE).

Top 10 peaks for 2θ from 15° to 90°, low angle first:
27.97 deg, d 3.190, intensity 100
39.57 deg, d 2.277, intensity 26
39.75 deg, d 2.268, intensity 13
40.22 deg, d 2.242, intensity 14
40.37 deg, d 2.234, intensity 25
49.02 deg, d 1.858, intensity 7
49.30 deg, d 1.848, intensity 14
57.82 deg, d 1.595, intensity 14
64.86 deg, d 1.438, intensity 13
65.98 deg, d 1.416, intensity 11

Structural model:
Unit cell a=10.150 b=10.150 c=8.974 alpha=104.26 beta=104.26 gamma=25.82
Sites, in units of the cell vectors:
La: 0.000 0.000 0.000
La: 0.326 0.326 0.153
La: 0.334 0.334 0.679
La: 0.666 0.666 0.321
La: 0.674 0.674 0.847
Ho: 0.000 0.000 0.500
Bi: 0.165 0.165 0.582
Bi: 0.495 0.495 0.254
Bi: 0.505 0.505 0.746
Bi: 0.835 0.835 0.418

Entry 5:
This entry pairs a crystal structure of LaHo2Bi3 with its calculated PXRD pattern. Radiation: Cu Kα, 1.54184 Å. Structure: DFT lattice parameters and positions (GGA-PBE).

Top 10 peaks for 2θ from 15° to 90°, low angle first:
27.68 deg, d 3.223, intensity 51
27.78 deg, d 3.212, intensity 100
39.62 deg, d 2.275, intensity 99
39.74 deg, d 2.268, intensity 19
49.02 deg, d 1.858, intensity 22
49.12 deg, d 1.855, intensity 21
64.71 deg, d 1.440, intensity 19
64.86 deg, d 1.438, intensity 28
71.83 deg, d 1.314, intensity 14
71.90 deg, d 1.313, intensity 14

Structural model:
Unit cell a=4.548 b=6.446 c=13.608 alpha=90.00 beta=90.00 gamma=90.00
Sites, in units of the cell vectors:
La: 0.000 0.000 0.000
La: 0.500 0.500 0.500
Ho: 0.000 0.000 0.336
Ho: 0.000 0.000 0.664
Ho: 0.500 0.500 0.164
Ho: 0.500 0.500 0.836
Bi: 0.000 0.500 0.000
Bi: 0.000 0.500 0.326
Bi: 0.000 0.500 0.674
Bi: 0.500 0.000 0.174
Bi: 0.500 0.000 0.500
Bi: 0.500 0.000 0.826

Entry 6:
This entry pairs a crystal structure of La3HoBi4 with its calculated PXRD pattern. Radiation: Cu Kα, 1.54184 Å. Structure: DFT lattice parameters and positions (GGA-PBE).

Top 10 peaks for 2θ from 15° to 90°, low angle first:
27.14 deg, d 3.286, intensity 100
38.75 deg, d 2.324, intensity 79
47.95 deg, d 1.897, intensity 29
55.97 deg, d 1.643, intensity 14
63.27 deg, d 1.470, intensity 31
70.10 deg, d 1.342, intensity 14
70.20 deg, d 1.341, intensity 14
83.17 deg, d 1.161, intensity 7
89.39 deg, d 1.096, intensity 8
89.50 deg, d 1.095, intensity 9

Structural model:
Unit cell a=9.285 b=13.140 c=4.653 alpha=90.00 beta=90.00 gamma=90.00
Sites, in units of the cell vectors:
La: 0.000 0.000 0.000
La: 0.250 0.250 0.500
La: 0.250 0.750 0.500
La: 0.500 0.500 0.000
La: 0.750 0.250 0.500
La: 0.750 0.750 0.500
Ho: 0.000 0.500 0.000
Ho: 0.500 0.000 0.000
Bi: 0.000 0.255 0.000
Bi: 0.000 0.745 0.000
Bi: 0.241 0.500 0.500
Bi: 0.259 0.000 0.500
Bi: 0.500 0.245 0.000
Bi: 0.500 0.755 0.000
Bi: 0.741 0.000 0.500
Bi: 0.759 0.500 0.500

Entry 7:
This entry pairs a crystal structure of LaSm2HoBi5 with its calculated PXRD pattern. Radiation: Cu Kα, 1.54184 Å. Structure: DFT lattice parameters and positions (GGA-PBE).

Top 10 peaks for 2θ from 15° to 90°, low angle first:
23.30 deg, d 3.818, intensity 60
24.43 deg, d 3.644, intensity 50
27.55 deg, d 3.238, intensity 57
29.32 deg, d 3.046, intensity 66
32.18 deg, d 2.782, intensity 40
33.18 deg, d 2.700, intensity 100
37.78 deg, d 2.381, intensity 32
44.86 deg, d 2.021, intensity 85
47.63 deg, d 1.909, intensity 37
56.92 deg, d 1.618, intensity 42

Structural model:
Unit cell a=5.400 b=5.400 c=12.185 alpha=90.00 beta=90.00 gamma=90.00
Sites, in units of the cell vectors:
La: 0.000 0.000 0.000
Sm: 0.500 0.500 0.268
Sm: 0.500 0.500 0.732
Ho: 0.000 0.000 0.500
Bi: 0.000 0.000 0.251
Bi: 0.000 0.000 0.749
Bi: 0.000 0.500 0.500
Bi: 0.500 0.000 0.500
Bi: 0.500 0.500 0.000

Entry 8:
This entry pairs a crystal structure of HoMgBi2O6 with its calculated PXRD pattern. Radiation: Cu Kα, 1.54184 Å. Structure: DFT lattice parameters and positions (GGA-PBE).

Top 10 peaks for 2θ from 15° to 90°, low angle first:
18.79 deg, d 4.722, intensity 15
20.99 deg, d 4.233, intensity 29
28.00 deg, d 3.187, intensity 20
29.68 deg, d 3.010, intensity 100
31.61 deg, d 2.830, intensity 23
42.23 deg, d 2.140, intensity 13
42.73 deg, d 2.116, intensity 15
47.95 deg, d 1.897, intensity 12
53.70 deg, d 1.707, intensity 13
55.11 deg, d 1.666, intensity 21

Structural model:
Unit cell a=8.560 b=6.374 c=5.660 alpha=90.00 beta=90.00 gamma=90.00
Sites, in units of the cell vectors:
Ho: 0.000 0.166 0.000
Ho: 0.500 0.834 0.500
Mg: 0.000 0.916 0.490
Mg: 0.500 0.084 0.990
Bi: 0.241 0.721 0.964
Bi: 0.259 0.279 0.464
Bi: 0.741 0.279 0.464
Bi: 0.759 0.721 0.964
O: 0.000 0.228 0.610
O: 0.000 0.818 0.820
O: 0.168 0.972 0.254
O: 0.181 0.402 0.108
O: 0.319 0.598 0.608
O: 0.332 0.028 0.754
O: 0.500 0.182 0.320
O: 0.500 0.772 0.110
O: 0.668 0.028 0.754
O: 0.681 0.598 0.608
O: 0.819 0.402 0.108
O: 0.832 0.972 0.254

Entry 9:
This entry pairs a crystal structure of HoMg2BiO6 with its calculated PXRD pattern. Radiation: Cu Kα, 1.54184 Å. Structure: DFT lattice parameters and positions (GGA-PBE).

Top 10 peaks for 2θ from 15° to 90°, low angle first:
22.38 deg, d 3.972, intensity 100
30.91 deg, d 2.893, intensity 65
32.79 deg, d 2.731, intensity 52
40.07 deg, d 2.250, intensity 24
45.68 deg, d 1.986, intensity 25
50.16 deg, d 1.819, intensity 35
52.71 deg, d 1.737, intensity 21
53.75 deg, d 1.706, intensity 12
57.37 deg, d 1.606, intensity 25
58.54 deg, d 1.577, intensity 17

Structural model:
Unit cell a=5.807 b=5.807 c=5.807 alpha=56.11 beta=56.11 gamma=56.11
Sites, in units of the cell vectors:
Ho: 0.000 0.000 0.000
Mg: 0.283 0.283 0.283
Mg: 0.785 0.785 0.785
Bi: 0.490 0.490 0.490
O: 0.083 0.667 0.416
O: 0.187 0.578 0.893
O: 0.416 0.083 0.667
O: 0.578 0.893 0.187
O: 0.667 0.416 0.083
O: 0.893 0.187 0.578

Entry 10:
This entry pairs a crystal structure of Ho2TmMgBi4 with its calculated PXRD pattern. Radiation: Cu Kα, 1.54184 Å. Structure: DFT lattice parameters and positions (GGA-PBE).

Top 10 peaks for 2θ from 15° to 90°, low angle first:
28.26 deg, d 3.158, intensity 51
28.50 deg, d 3.132, intensity 100
40.57 deg, d 2.224, intensity 99
40.91 deg, d 2.206, intensity 19
50.11 deg, d 1.820, intensity 11
50.25 deg, d 1.816, intensity 11
50.46 deg, d 1.809, intensity 21
58.99 deg, d 1.566, intensity 13
66.58 deg, d 1.404, intensity 19
74.27 deg, d 1.277, intensity 14

Structural model:
Unit cell a=7.714 b=4.412 c=7.735 alpha=90.00 beta=109.72 gamma=90.00
Sites, in units of the cell vectors:
Ho: 0.000 0.000 0.000
Ho: 0.000 0.500 0.500
Tm: 0.500 0.000 0.500
Mg: 0.500 0.500 0.000
Bi: 0.253 0.500 0.250
Bi: 0.257 0.000 0.756
Bi: 0.743 0.000 0.244
Bi: 0.747 0.500 0.750

Entry 11:
This entry pairs a crystal structure of Ho2PaBi2N2 with its calculated PXRD pattern. Radiation: Cu Kα, 1.54184 Å. Structure: DFT lattice parameters and positions (GGA-PBE).

Top 10 peaks for 2θ from 15° to 90°, low angle first:
28.77 deg, d 3.103, intensity 75
34.12 deg, d 2.627, intensity 100
41.14 deg, d 2.194, intensity 33
54.49 deg, d 1.684, intensity 54
59.59 deg, d 1.551, intensity 11
64.23 deg, d 1.450, intensity 15
67.50 deg, d 1.388, intensity 14
70.49 deg, d 1.336, intensity 13
71.86 deg, d 1.314, intensity 12
85.01 deg, d 1.141, intensity 16

Structural model:
Unit cell a=4.388 b=4.388 c=16.402 alpha=90.00 beta=90.00 gamma=90.00
Sites, in units of the cell vectors:
Ho: 0.000 0.000 0.107
Ho: 0.000 0.000 0.893
Ho: 0.500 0.500 0.393
Ho: 0.500 0.500 0.607
Pa: 0.000 0.000 0.500
Pa: 0.500 0.500 0.000
Bi: 0.000 0.000 0.305
Bi: 0.000 0.000 0.695
Bi: 0.500 0.500 0.195
Bi: 0.500 0.500 0.805
N: 0.000 0.500 0.000
N: 0.000 0.500 0.500
N: 0.500 0.000 0.000
N: 0.500 0.000 0.500

Entry 12:
This entry pairs a crystal structure of Na2HoPaBi4 with its calculated PXRD pattern. Radiation: Cu Kα, 1.54184 Å. Structure: DFT lattice parameters and positions (GGA-PBE).

Top 10 peaks for 2θ from 15° to 90°, low angle first:
22.04 deg, d 4.034, intensity 18
27.13 deg, d 3.286, intensity 59
28.98 deg, d 3.081, intensity 100
35.13 deg, d 2.555, intensity 31
38.93 deg, d 2.314, intensity 44
41.28 deg, d 2.187, intensity 40
44.95 deg, d 2.017, intensity 33
47.05 deg, d 1.931, intensity 13
59.30 deg, d 1.558, intensity 15
60.05 deg, d 1.541, intensity 13

Structural model:
Unit cell a=7.404 b=5.109 c=7.745 alpha=90.00 beta=117.41 gamma=90.00
Sites, in units of the cell vectors:
Na: 0.000 0.000 0.000
Na: 0.500 0.500 0.000
Ho: 0.000 0.000 0.500
Pa: 0.500 0.500 0.500
Bi: 0.014 0.500 0.268
Bi: 0.489 0.000 0.735
Bi: 0.511 0.000 0.265
Bi: 0.986 0.500 0.732